Diffraction record for Li2TiMn2O5. The XRD peak list is simulated, not measured: it uses a PBE+U-relaxed structure and copper Kα.

Atomic structure:
```
20
Lattice="2.6570 -7.6134 0.0000 2.6570 7.6134 0.0000 -1.8613 0.0000 4.9961" Properties=species:S:1:pos:R:3 pbc="T T T"
Li 0.0000 0.0000 0.0000
Li 2.6570 1.4393 0.0000
Li 1.7264 -3.2818 2.4981
Li 1.7264 -6.1395 2.4981
Ti 1.7264 -0.1568 2.4981
Ti 2.6570 -4.8357 0.0000
Mn 1.7264 6.0545 2.4981
Mn 2.6570 4.4685 0.0000
Mn 1.7264 2.9324 2.4981
Mn 2.6570 -1.5631 0.0000
O -0.2635 2.9815 3.8746
O 0.8262 1.4905 1.1973
O 0.1514 -0.0167 3.5986
O 0.8851 -1.4117 1.3033
O -0.0543 -3.1883 3.7910
O 3.7163 2.9815 1.1215
O 2.6266 1.4905 3.7988
O 3.3013 -0.0167 1.3975
O 2.5677 -1.4117 3.6928
O 3.5070 -3.1883 1.2052
```

The 6 most intense peaks (10 to 90 degrees two-theta), in order of rising 2θ:
d 4.202, 21.1°, intensity 275
d 2.499, 35.9°, intensity 322
d 2.186, 41.3°, intensity 513
d 2.150, 42.0°, intensity 1000
d 1.535, 60.3°, intensity 272
d 1.531, 60.5°, intensity 269